Entry 1:
Starting from a cell relaxed with GGA-PBE, the powder XRD pattern of TmTi2O4 was computed for a wavelength of 1.5418 Å.
Neutral-atom scattering factors, no anomalous dispersion.

Structural model:
Cell lengths 3.1055, 9.7090, 10.2048 Å; angles 90.00, 90.00, 90.00 degrees
Space group Cmcm (No. 63)
Symmetry-distinct sites (fractional):
Tm1 0.0000 0.1266 0.2500 (multiplicity 4)
Ti1 0.0000 0.3807 0.0605 (multiplicity 8)
O1 0.0000 0.0000 0.0000 (multiplicity 4)
O2 0.0000 0.2705 0.6158 (multiplicity 8)
O3 0.0000 0.4610 0.2500 (multiplicity 4)

Main lines, most intense first (2θ = 15–90°):
2θ/deg, d_spacing, I_rel, h k l
32.13, 2.786, 100, 0 2 3
20.26, 4.384, 90, 0 2 1
41.24, 2.189, 63, 1 3 1
31.49, 2.841, 58, 1 1 1
44.14, 2.052, 54, 1 3 2
35.07, 2.559, 51, 1 1 2
17.38, 5.102, 32, 0 0 2
54.63, 1.680, 29, 1 1 5
37.04, 2.427, 26, 0 4 0
69.29, 1.356, 25, 2 2 3

***

Entry 2:
Starting from a cell relaxed with GGA-PBE, the powder XRD pattern of TmTi2O5 was computed for a wavelength of 1.5418 Å.
Neutral-atom scattering factors, no anomalous dispersion.

Structural model:
Cell lengths 3.4854, 11.9137, 4.9268 Å; angles 90.00, 90.00, 90.00 degrees
Space group Pmmn (No. 59, origin choice 2)
Symmetry-distinct sites (fractional):
Tm1 0.2500 0.2500 0.1299 (multiplicity 2)
Ti1 0.2500 0.5951 0.4166 (multiplicity 4)
O1 0.2500 0.0803 0.4084 (multiplicity 4)
O2 0.2500 0.6390 0.0704 (multiplicity 4)
O3 0.2500 0.7500 0.5740 (multiplicity 2)

Main lines, most intense first (2θ = 15–90°):
2θ/deg, d_spacing, I_rel, h k l
23.43, 3.797, 100, 0 2 1
34.23, 2.620, 85, 1 3 0
31.44, 2.845, 79, 1 0 1
32.35, 2.768, 74, 1 1 1
28.88, 3.092, 71, 0 3 1
47.72, 1.906, 67, 1 2 2
19.50, 4.553, 67, 0 1 1
55.09, 1.667, 44, 1 4 2
37.27, 2.412, 36, 0 1 2
45.70, 1.985, 33, 0 6 0

***

Entry 3:
Starting from a cell relaxed with GGA-PBE, the powder XRD pattern of UTi3O8 was computed for a wavelength of 1.5418 Å.
Neutral-atom scattering factors, no anomalous dispersion.

Structural model:
Cell lengths 12.7054, 4.0044, 6.7786 Å; angles 90.00, 106.29, 90.00 degrees
Space group Cm (No. 8)
Symmetry-distinct sites (fractional):
U1 0.0000 0.0000 0.0000 (multiplicity 2)
Ti1 0.1092 0.0000 0.5917 (multiplicity 2)
Ti2 0.3018 0.0000 0.0021 (multiplicity 2)
Ti3 0.4039 0.0000 0.5682 (multiplicity 2)
O1 0.0647 0.5000 0.6036 (multiplicity 2)
O2 0.0765 0.0000 0.3153 (multiplicity 2)
O3 0.1503 0.0000 0.9227 (multiplicity 2)
O4 0.2625 0.0000 0.6591 (multiplicity 2)
O5 0.3300 0.5000 0.0056 (multiplicity 2)
O6 0.3487 0.0000 0.2938 (multiplicity 2)
O7 0.4408 0.5000 0.6356 (multiplicity 2)
O8 0.4506 0.0000 0.9285 (multiplicity 2)

Main lines, most intense first (2θ = 15–90°):
2θ/deg, d_spacing, I_rel, h k l
23.38, 3.805, 100, 1 1 0
27.42, 3.253, 62, 0 0 2
28.19, 3.166, 56, 1 1 1
28.64, 3.117, 52, 4 0 -1
26.08, 3.417, 45, 1 1 -1
31.67, 2.825, 45, 3 1 -1
31.36, 2.853, 44, 3 1 0
34.69, 2.586, 41, 1 1 -2
45.29, 2.002, 32, 0 2 0
16.91, 5.243, 31, 2 0 -1